Structure and theoretical powder X-ray diffraction pattern of AcEr4Tm7 (a structure optimized by DFT (PBE); Cu Kα (weighted mean of Kα1 and Kα2)).
No peak broadening, texture or thermal motion is included.

Principal peaks in the range 2θ = 10–90°, by angle:
2θ = 28.59°, rel. 23, hkl 0 6 1; 2θ = 31.85°, rel. 36, hkl 2 0 0; 2θ = 32.82°, rel. 100, hkl 1 6 1; 2θ = 32.93°, rel. 48, hkl 1 0 2; 2θ = 43.35°, rel. 23, hkl 2 0 2; 2θ = 50.81°, rel. 19, hkl 0 6 3; 2θ = 57.38°, rel. 31, hkl 3 6 1; 2θ = 61.22°, rel. 22, hkl 2 6 3

Cell and atoms:
Cell: 5.620 21.662 6.216 Å, 90.00 90.00 90.00°
Space group Pmmn (No. 59, origin choice 2)
Symmetry-distinct sites (fractional):
Ac 0.250 0.250 0.170 [2 per cell]
Er 0.250 0.081 0.169 [4 per cell]
Er 0.250 0.582 0.167 [4 per cell]
Tm 0.250 0.000 0.667 [4 per cell]
Tm 0.250 0.163 0.668 [4 per cell]
Tm 0.250 0.663 0.664 [4 per cell]
Tm 0.250 0.750 0.176 [2 per cell]